# SrP2Xe3F18
Computed X-ray diffraction stick pattern, Cu Kα. Input: a crystal structure in the Materials Project, relaxed with PBE.
Neutral-atom scattering factors, no anomalous dispersion.

Peak list (10 most intense, 5° ≤ 2θ ≤ 70°, low angle first)
index	2θ (°)	d [Å]	Rel. int.
2 2 1	22.68	3.921	100
0 0 3	24.16	3.684	38
2 2 -2	24.59	3.620	71
4 0 -1	28.62	3.119	20
0 4 0	29.14	3.065	29
4 2 1	34.37	2.609	13
0 2 4	35.65	2.519	13
0 4 3	38.20	2.356	12
2 2 4	40.46	2.230	12
2 6 -2	49.02	1.858	15

Atomic structure:
```
data_SrP2Xe3F18
_cell_length_a 12.594
_cell_length_b 12.260
_cell_length_c 11.184
_cell_angle_alpha 90.00
_cell_angle_beta 98.78
_cell_angle_gamma 90.00
_symmetry_space_group_name_H-M 'C 1 2/m 1'
_symmetry_Int_Tables_number 12
loop_
_symmetry_equiv_pos_as_xyz
'x,y,z'
'-x,-y,-z'
'-x,y,-z'
'x,-y,z'
'x+1/2,y+1/2,z'
'-x+1/2,-y+1/2,-z'
'-x+1/2,y+1/2,-z'
'x+1/2,-y+1/2,z'
loop_
_atom_site_label
_atom_site_fract_x
_atom_site_fract_y
_atom_site_fract_z
Sr1 0.215 0.000 0.226
P1 0.200 0.500 0.093
P2 0.250 0.250 0.500
Xe1 0.000 0.000 0.500
Xe2 0.000 0.500 0.500
Xe3 0.056 0.237 0.835
F1 0.041 0.000 0.326
F2 0.077 0.144 0.137
F3 0.087 0.500 0.673
F4 0.103 0.500 0.172
F5 0.117 0.500 0.965
F6 0.140 0.230 0.557
F7 0.181 0.311 0.385
F8 0.190 0.326 0.810
F9 0.197 0.000 0.991
F10 0.202 0.367 0.090
F11 0.209 0.000 0.786
F12 0.232 0.130 0.428
```

# Sr2ZnP2F
Computed X-ray diffraction stick pattern, Cu Kα. Input: a crystal structure in the Materials Project, relaxed with PBE.
Neutral-atom scattering factors, no anomalous dispersion.

Peak list (10 most intense, 5° ≤ 2θ ≤ 70°, low angle first)
index	2θ (°)	d [Å]	Rel. int.
0 0 3	17.95	4.942	25
1 0 0	24.88	3.578	100
1 0 3	30.85	2.898	28
1 1 0	35.48	2.530	39
0 0 6	36.36	2.471	15
1 1 3	40.04	2.252	14
1 0 6	44.56	2.033	32
2 0 0	51.05	1.789	13
1 1 6	51.71	1.768	20
2 1 0	57.60	1.600	18

Atomic structure:
```
data_Sr2ZnP2F
_cell_length_a 3.578
_cell_length_b 3.578
_cell_length_c 14.827
_cell_angle_alpha 90.00
_cell_angle_beta 90.00
_cell_angle_gamma 90.00
_symmetry_space_group_name_H-M 'P 4/m m m'
_symmetry_Int_Tables_number 123
_symmetry_space_group_name_Hall '-P 4 2'
loop_
_atom_site_label
_atom_site_fract_x
_atom_site_fract_y
_atom_site_fract_z
Sr1 0.000 0.000 0.154
Zn1 0.000 0.000 0.500
P1 0.000 0.000 0.351
F1 0.000 0.000 0.000
```

# TlPF6
Computed X-ray diffraction stick pattern, Cu Kα. Input: a crystal structure in the Materials Project, relaxed with PBE.
Neutral-atom scattering factors, no anomalous dispersion.

Peak list (10 most intense, 5° ≤ 2θ ≤ 70°, low angle first)
index	2θ (°)	d [Å]	Rel. int.
1 0 1	19.26	4.609	27
0 1 2	22.05	4.031	100
1 0 4	30.91	2.893	43
1 1 0	31.85	2.809	26
0 1 5	36.27	2.477	20
1 1 3	37.09	2.424	28
0 2 1	37.49	2.399	29
2 0 2	39.08	2.305	26
1 1 6	50.00	1.824	34
2 1 4	56.17	1.638	20

Atomic structure:
```
data_TlPF6
_cell_length_a 5.6185
_cell_length_b 5.6185
_cell_length_c 14.3890
_cell_angle_alpha 90.00
_cell_angle_beta 90.00
_cell_angle_gamma 120.00
_symmetry_space_group_name_H-M 'R -3 m'
_symmetry_Int_Tables_number 166
_symmetry_space_group_name_Hall '-R 3 2"'
loop_
_atom_site_label
_atom_site_fract_x
_atom_site_fract_y
_atom_site_fract_z
Tl1 0.0000 0.0000 0.0000
P1 0.0000 0.0000 0.5000
F1 0.0580 0.5290 0.1008
```